Record 1
Starting from a cell relaxed with PBE, the powder diffractogram of TlNi2HgAs was calculated for Cu Kα.

Cell and atoms:
```
data_TlNi2HgAs
_chemical_formula_sum 'Tl1 Ni2 Hg1 As1'
_cell_length_a 4.848
_cell_length_b 4.848
_cell_length_c 5.209
_cell_angle_alpha 90.00
_cell_angle_beta 90.00
_cell_angle_gamma 90.00
_space_group_name_H-M_alt 'P 4/m m m'
_space_group_IT_number 123
_space_group_name_Hall '-P 4 2'
loop_
_atom_site_label
_atom_site_type_symbol
_atom_site_fract_x
_atom_site_fract_y
_atom_site_fract_z
Tl1 Tl 0.000 0.000 0.000
Ni1 Ni 0.000 0.500 0.000
Hg1 Hg 0.500 0.500 0.500
As1 As 0.000 0.000 0.500
```

Largest 10 diffraction maxima, sorted by position, 2θ from 10° to 90°:
- 2θ 25.10, I 100, hkl 1 0 1
- 2θ 25.99, I 53, hkl 1 1 0
- 2θ 31.24, I 25, hkl 1 1 1
- 2θ 34.44, I 40, hkl 0 0 2
- 2θ 37.09, I 66, hkl 2 0 0
- 2θ 43.65, I 28, hkl 1 1 2
- 2θ 45.31, I 43, hkl 2 1 1
- 2θ 51.51, I 51, hkl 2 0 2
- 2θ 53.46, I 23, hkl 2 2 0
- 2θ 65.16, I 25, hkl 2 2 2

***

Record 2
Starting from a cell relaxed with PBE, the powder diffractogram of Hg3AsO5 was calculated for Cu Kα.

Cell and atoms:
```
data_Hg3AsO5
_chemical_formula_sum 'Hg12 As4 O20'
_cell_length_a 7.241
_cell_length_b 9.319
_cell_length_c 10.817
_cell_angle_alpha 90.00
_cell_angle_beta 122.75
_cell_angle_gamma 90.00
_space_group_name_H-M_alt 'P 1 21/c 1'
_space_group_IT_number 14
loop_
_space_group_symop_operation_xyz
'x,y,z'
'-x,-y,-z'
'-x,y+1/2,-z+1/2'
'x,-y+1/2,z+1/2'
loop_
_atom_site_label
_atom_site_type_symbol
_atom_site_fract_x
_atom_site_fract_y
_atom_site_fract_z
Hg1 Hg 0.036 0.132 0.050
Hg2 Hg 0.228 0.007 0.488
Hg3 Hg 0.350 0.137 0.843
As1 As 0.296 0.740 0.294
O1 O 0.045 0.678 0.250
O2 O 0.141 0.136 0.614
O3 O 0.326 0.733 0.147
O4 O 0.348 0.584 0.861
O5 O 0.490 0.131 0.073
```

Largest 10 diffraction maxima, sorted by position, 2θ from 10° to 90°:
- 2θ 24.88, I 32, hkl 2 0 -2
- 2θ 27.10, I 100, hkl 2 1 -1
- 2θ 27.40, I 44, hkl 0 2 2
- 2θ 28.88, I 38, hkl 1 2 1
- 2θ 29.76, I 63, hkl 2 1 -3
- 2θ 30.22, I 38, hkl 1 0 2
- 2θ 30.41, I 89, hkl 0 3 1
- 2θ 31.40, I 37, hkl 1 2 -3
- 2θ 31.52, I 37, hkl 2 2 -2
- 2θ 46.52, I 52, hkl 2 4 -2

***

Record 3
Starting from a cell relaxed with PBE, the powder diffractogram of HgAsO4 was calculated for Cu Kα.

Cell and atoms:
```
data_HgAsO4
_chemical_formula_sum 'Hg2 As2 O8'
_cell_length_a 5.533
_cell_length_b 6.105
_cell_length_c 4.726
_cell_angle_alpha 90.00
_cell_angle_beta 90.00
_cell_angle_gamma 90.00
_space_group_name_H-M_alt 'P b a n'
_space_group_IT_number 50
loop_
_space_group_symop_operation_xyz
'x,y,z'
'-x,-y,-z'
'-x+1/2,-y+1/2,z'
'x+1/2,y+1/2,-z'
'x,-y+1/2,-z'
'-x,y+1/2,z'
'-x+1/2,y,-z'
'x+1/2,-y,z'
loop_
_atom_site_label
_atom_site_type_symbol
_atom_site_fract_x
_atom_site_fract_y
_atom_site_fract_z
Hg1 Hg 0.250 0.250 0.000
As1 As 0.250 0.750 0.500
O1 O 0.074 0.593 0.274
```

Largest 10 diffraction maxima, sorted by position, 2θ from 10° to 90°:
- 2θ 21.68, I 13, hkl 1 1 0
- 2θ 28.83, I 100, hkl 1 1 1
- 2θ 29.26, I 19, hkl 0 2 0
- 2θ 32.36, I 13, hkl 2 0 0
- 2θ 44.20, I 25, hkl 2 2 0
- 2θ 48.73, I 14, hkl 0 2 2
- 2θ 50.81, I 13, hkl 2 0 2
- 2θ 51.61, I 19, hkl 1 3 1
- 2θ 55.56, I 15, hkl 3 1 1
- 2θ 59.71, I 12, hkl 2 2 2

***

Record 4
Starting from a cell relaxed with PBE, the powder diffractogram of Hg2As2O5 was calculated for Cu Kα.

Cell and atoms:
```
data_Hg2As2O5
_chemical_formula_sum 'Hg4 As4 O10'
_cell_length_a 11.848
_cell_length_b 4.044
_cell_length_c 6.744
_cell_angle_alpha 90.00
_cell_angle_beta 99.94
_cell_angle_gamma 90.00
_space_group_name_H-M_alt 'C 1 2/m 1'
_space_group_IT_number 12
loop_
_space_group_symop_operation_xyz
'x,y,z'
'-x,-y,-z'
'-x,y,-z'
'x,-y,z'
'x+1/2,y+1/2,z'
'-x+1/2,-y+1/2,-z'
'-x+1/2,y+1/2,-z'
'x+1/2,-y+1/2,z'
loop_
_atom_site_label
_atom_site_type_symbol
_atom_site_fract_x
_atom_site_fract_y
_atom_site_fract_z
Hg1 Hg 0.112 0.000 0.032
As1 As 0.162 0.500 0.569
O1 O 0.000 0.500 0.500
O2 O 0.197 0.000 0.528
O3 O 0.202 0.500 0.835
```

Largest 10 diffraction maxima, sorted by position, 2θ from 10° to 90°:
- 2θ 13.33, I 39, hkl 0 0 1
- 2θ 23.28, I 22, hkl 1 1 0
- 2θ 26.24, I 100, hkl 1 1 -1
- 2θ 26.84, I 47, hkl 0 0 2
- 2θ 27.58, I 20, hkl 1 1 1
- 2θ 30.64, I 25, hkl 4 0 0
- 2θ 36.30, I 20, hkl 3 1 1
- 2θ 44.82, I 50, hkl 0 2 0
- 2θ 44.87, I 17, hkl 5 1 -1
- 2θ 46.21, I 26, hkl 1 1 -3

***

Record 5
Starting from a cell relaxed with PBE, the powder diffractogram of Hg3AsO6 was calculated for Cu Kα.

Cell and atoms:
```
data_Hg3AsO6
_chemical_formula_sum 'Hg18 As6 O36'
_cell_length_a 9.5197
_cell_length_b 9.5197
_cell_length_c 11.3751
_cell_angle_alpha 90.00
_cell_angle_beta 90.00
_cell_angle_gamma 120.00
_space_group_name_H-M_alt 'R -3'
_space_group_IT_number 148
_space_group_name_Hall '-R 3'
loop_
_atom_site_label
_atom_site_type_symbol
_atom_site_fract_x
_atom_site_fract_y
_atom_site_fract_z
Hg1 Hg 0.0595 0.2707 0.1948
As1 As 0.0000 0.0000 0.0000
As2 As 0.0000 0.0000 0.5000
O1 O 0.0711 0.1844 0.4038
O2 O 0.0735 0.1859 0.9060
```

Largest 10 diffraction maxima, sorted by position, 2θ from 10° to 90°:
- 2θ 22.95, I 21, hkl 0 2 1
- 2θ 23.46, I 49, hkl 0 0 3
- 2θ 29.73, I 100, hkl 2 1 1
- 2θ 30.13, I 30, hkl 1 1 3
- 2θ 32.77, I 70, hkl 3 -2 2
- 2θ 42.62, I 20, hkl 3 1 2
- 2θ 43.06, I 36, hkl 2 1 4
- 2θ 50.75, I 24, hkl 1 4 0
- 2θ 56.63, I 25, hkl 1 4 3
- 2θ 57.11, I 14, hkl 4 -1 5

***

Record 6
Starting from a cell relaxed with PBE, the powder diffractogram of Hg9As4O16 was calculated for Cu Kα.

Cell and atoms:
```
data_Hg9As4O16
_chemical_formula_sum 'Hg54 As24 O96'
_cell_length_a 17.3057
_cell_length_b 17.3057
_cell_length_c 11.0703
_cell_angle_alpha 90.00
_cell_angle_beta 90.00
_cell_angle_gamma 120.00
_space_group_name_H-M_alt 'R 3 c'
_space_group_IT_number 161
_space_group_name_Hall 'R 3 -2"c'
loop_
_atom_site_label
_atom_site_type_symbol
_atom_site_fract_x
_atom_site_fract_y
_atom_site_fract_z
Hg1 Hg 0.0567 0.1673 0.0000
Hg2 Hg 0.1435 0.3877 0.6884
Hg3 Hg 0.1749 0.4609 0.4626
As1 As 0.0000 0.0000 0.2149
As2 As 0.0270 0.2615 0.2958
O1 O 0.0000 0.0000 0.3679
O2 O 0.0109 0.1956 0.4204
O3 O 0.0559 0.3690 0.3352
O4 O 0.0694 0.5085 0.8619
O5 O 0.0977 0.0112 0.6512
O6 O 0.1256 0.3805 0.8951
```

Largest 10 diffraction maxima, sorted by position, 2θ from 10° to 90°:
- 2θ 17.59, I 89, hkl 2 1 1
- 2θ 17.75, I 42, hkl 3 0 0
- 2θ 22.85, I 37, hkl 1 3 1
- 2θ 26.82, I 100, hkl 3 1 2
- 2θ 27.16, I 59, hkl 3 2 1
- 2θ 27.27, I 56, hkl 4 1 0
- 2θ 28.77, I 81, hkl 0 4 2
- 2θ 32.91, I 51, hkl 1 0 4
- 2θ 34.28, I 75, hkl 5 1 1
- 2θ 45.06, I 71, hkl 2 5 3

***

Record 7
Starting from a cell relaxed with PBE, the powder diffractogram of HgAsO was calculated for Cu Kα.

Cell and atoms:
```
data_HgAsO
_chemical_formula_sum 'Hg4 As4 O4'
_cell_length_a 4.348
_cell_length_b 7.891
_cell_length_c 8.243
_cell_angle_alpha 90.00
_cell_angle_beta 90.00
_cell_angle_gamma 90.00
_space_group_name_H-M_alt 'P 21 21 21'
_space_group_IT_number 19
loop_
_space_group_symop_operation_xyz
'x,y,z'
'-x+1/2,-y,z+1/2'
'x+1/2,-y+1/2,-z'
'-x,y+1/2,-z+1/2'
loop_
_atom_site_label
_atom_site_type_symbol
_atom_site_fract_x
_atom_site_fract_y
_atom_site_fract_z
Hg1 Hg 0.030 0.177 0.108
As1 As 0.218 0.875 0.917
O1 O 0.010 0.178 0.581
```

Largest 10 diffraction maxima, sorted by position, 2θ from 10° to 90°:
- 2θ 15.55, I 39, hkl 0 1 1
- 2θ 22.54, I 27, hkl 0 2 0
- 2θ 23.13, I 32, hkl 1 0 1
- 2θ 25.02, I 41, hkl 0 2 1
- 2θ 25.77, I 32, hkl 1 1 1
- 2θ 30.60, I 35, hkl 1 2 0
- 2θ 32.00, I 100, hkl 1 1 2
- 2θ 40.00, I 36, hkl 0 2 3
- 2θ 41.59, I 33, hkl 1 3 1
- 2θ 44.61, I 27, hkl 2 1 1

***

Record 8
Starting from a cell relaxed with PBE, the powder diffractogram of Hg3As2O8 was calculated for Cu Kα.

Cell and atoms:
```
data_Hg3As2O8
_chemical_formula_sum 'Hg12 As8 O32'
_cell_length_a 10.360
_cell_length_b 12.051
_cell_length_c 6.677
_cell_angle_alpha 90.00
_cell_angle_beta 99.24
_cell_angle_gamma 90.00
_space_group_name_H-M_alt 'P 1 21/c 1'
_space_group_IT_number 14
loop_
_space_group_symop_operation_xyz
'x,y,z'
'-x,-y,-z'
'-x,y+1/2,-z+1/2'
'x,-y+1/2,z+1/2'
loop_
_atom_site_label
_atom_site_type_symbol
_atom_site_fract_x
_atom_site_fract_y
_atom_site_fract_z
Hg1 Hg 0.045 0.119 0.171
Hg2 Hg 0.298 0.102 0.674
Hg3 Hg 0.343 0.671 0.588
As1 As 0.098 0.633 0.905
As2 As 0.393 0.095 0.196
O1 O 0.044 0.209 0.585
O2 O 0.086 0.558 0.680
O3 O 0.130 0.555 0.118
O4 O 0.221 0.726 0.868
O5 O 0.276 0.083 0.979
O6 O 0.292 0.143 0.365
O7 O 0.453 0.538 0.759
O8 O 0.485 0.688 0.320
```

Largest 10 diffraction maxima, sorted by position, 2θ from 10° to 90°:
- 2θ 20.90, I 31, hkl 1 2 -1
- 2θ 23.80, I 22, hkl 1 3 0
- 2θ 26.14, I 28, hkl 3 0 0
- 2θ 28.01, I 100, hkl 2 2 1
- 2θ 28.46, I 28, hkl 3 1 -1
- 2θ 29.65, I 28, hkl 0 4 0
- 2θ 29.80, I 19, hkl 1 0 2
- 2θ 35.23, I 16, hkl 0 3 2
- 2θ 35.53, I 17, hkl 3 3 -1
- 2θ 42.78, I 16, hkl 2 5 -1

***

Record 9
Starting from a cell relaxed with PBE, the powder diffractogram of HgAsRhO6 was calculated for Cu Kα.

Cell and atoms:
```
data_HgAsRhO6
_chemical_formula_sum 'Hg1 As1 Rh1 O6'
_cell_length_a 5.1252
_cell_length_b 5.1252
_cell_length_c 4.9672
_cell_angle_alpha 90.00
_cell_angle_beta 90.00
_cell_angle_gamma 120.00
_space_group_name_H-M_alt 'P 3 1 2'
_space_group_IT_number 149
loop_
_space_group_symop_operation_xyz
'x,y,z'
'-y,x-y,z'
'-x+y,-x,z'
'-y,-x,-z'
'-x+y,y,-z'
'x,x-y,-z'
loop_
_atom_site_label
_atom_site_type_symbol
_atom_site_fract_x
_atom_site_fract_y
_atom_site_fract_z
Hg1 Hg 0.0000 0.0000 0.0000
As1 As 0.6667 0.3333 0.5000
Rh1 Rh 0.3333 0.6667 0.5000
O1 O 0.3813 0.0147 0.7119
```

Largest 10 diffraction maxima, sorted by position, 2θ from 10° to 90°:
- 2θ 20.00, I 10, hkl 1 0 0
- 2θ 26.94, I 100, hkl 1 0 1
- 2θ 35.02, I 33, hkl 1 1 0
- 2θ 44.73, I 24, hkl 2 0 1
- 2θ 51.22, I 35, hkl 2 -1 2
- 2θ 58.03, I 24, hkl 3 -1 1
- 2θ 59.60, I 10, hkl 1 0 3
- 2θ 62.81, I 11, hkl 3 0 0
- 2θ 80.35, I 10, hkl 3 1 1
- 2θ 81.72, I 9, hkl 2 1 3

***

Record 10
Starting from a cell relaxed with PBE, the powder diffractogram of Tl2HgAsO4 was calculated for Cu Kα.

Cell and atoms:
```
data_Tl2HgAsO4
_chemical_formula_sum 'Tl16 Hg8 As8 O32'
_cell_length_a 6.291
_cell_length_b 11.094
_cell_length_c 21.121
_cell_angle_alpha 90.00
_cell_angle_beta 90.00
_cell_angle_gamma 90.00
_space_group_name_H-M_alt 'F d d d'
_space_group_IT_number 70
loop_
_space_group_symop_operation_xyz
'x,y,z'
'-x,-y,-z'
'-x+1/4,-y+1/4,z'
'x+1/4,y+1/4,-z'
'x,-y+1/4,-z+1/4'
'-x,y+1/4,z+1/4'
'-x+1/4,y,-z+1/4'
'x+1/4,-y,z+1/4'
'x,y+1/2,z+1/2'
'-x,-y+1/2,-z+1/2'
'-x+1/4,-y+3/4,z+1/2'
'x+1/4,y+3/4,-z+1/2'
'x,-y+3/4,-z+3/4'
'-x,y+3/4,z+3/4'
'-x+1/4,y+1/2,-z+3/4'
'x+1/4,-y+1/2,z+3/4'
'x+1/2,y,z+1/2'
'-x+1/2,-y,-z+1/2'
'-x+3/4,-y+1/4,z+1/2'
'x+3/4,y+1/4,-z+1/2'
'x+1/2,-y+1/4,-z+3/4'
'-x+1/2,y+1/4,z+3/4'
'-x+3/4,y,-z+3/4'
'x+3/4,-y,z+3/4'
'x+1/2,y+1/2,z'
'-x+1/2,-y+1/2,-z'
'-x+3/4,-y+3/4,z'
'x+3/4,y+3/4,-z'
'x+1/2,-y+3/4,-z+1/4'
'-x+1/2,y+3/4,z+1/4'
'-x+3/4,y+1/2,-z+1/4'
'x+3/4,-y+1/2,z+1/4'
loop_
_atom_site_label
_atom_site_type_symbol
_atom_site_fract_x
_atom_site_fract_y
_atom_site_fract_z
Tl1 Tl 0.125 0.125 0.317
Hg1 Hg 0.125 0.125 0.125
As1 As 0.125 0.125 0.625
O1 O 0.039 0.278 0.833
```

Largest 10 diffraction maxima, sorted by position, 2θ from 10° to 90°:
- 2θ 16.77, I 100, hkl 0 0 4
- 2θ 20.56, I 29, hkl 1 1 3
- 2θ 26.66, I 65, hkl 1 1 5
- 2θ 30.07, I 57, hkl 0 2 6
- 2θ 32.28, I 36, hkl 0 4 0
- 2θ 32.73, I 78, hkl 2 2 0
- 2θ 35.27, I 46, hkl 1 3 5
- 2θ 38.38, I 30, hkl 2 0 6
- 2θ 45.97, I 28, hkl 0 2 10
- 2θ 50.99, I 27, hkl 2 4 6